Structure and theoretical powder diffraction line list of Li2Mn2SnO6 (DFT lattice parameters and positions (GGA+U); Cu Kα, 1.54184 Å).
No peak broadening, texture or thermal motion is included.

Most intense lines, 2θ = 10–80°, in order of rising 2θ:
2θ = 17.2°, rel. 100
2θ = 20.6°, rel. 15
2θ = 32.1°, rel. 20
2θ = 35.1°, rel. 36
2θ = 36.7°, rel. 25
2θ = 43.2°, rel. 39
2θ = 56.6°, rel. 21
2θ = 59.2°, rel. 19

Crystal structure
```
22
Lattice="4.4988 -2.7841 0.0000 4.4988 2.7841 0.0000 0.0000 0.0000 10.3275" Properties=species:S:1:pos:R:3 pbc="T T T"
Li 2.2494 0.7975 2.5819
Li 2.2494 -0.7975 7.7457
Li 6.7482 0.7975 2.5819
Li 6.7482 -0.7975 7.7457
Mn 1.4686 0.0000 0.0000
Mn 3.0302 0.0000 5.1638
Mn 5.9674 0.0000 5.1638
Mn 7.5290 0.0000 0.0000
Sn 0.0000 0.0000 5.1638
Sn 4.4988 0.0000 0.0000
O 1.6159 0.7084 6.3190
O 4.4988 1.8882 0.9483
O 2.8829 0.7084 9.1723
O 1.6159 -0.7084 4.0086
O 4.4988 0.8959 6.1121
O 2.8829 -0.7084 1.1552
O 6.1147 0.7084 9.1723
O 4.4988 -0.8959 4.2155
O 7.3817 0.7084 6.3190
O 6.1147 -0.7084 1.1552
O 4.4988 -1.8882 9.3793
O 7.3817 -0.7084 4.0086
```